(1)
The following is a computed powder diffractogram of LiCu2C2O7. It was derived from a cell relaxed with PBE, using CuKα.
No peak broadening, texture or thermal motion is included.

Cell and atoms:
abc: 4.7964 4.7987 15.4677
angles: 89.92 89.97 60.04
Atoms (fractional coordinates):
1 Li 0.0000 0.0000 0.0000
2 Li 0.0009 0.9986 0.5000
3 Cu 0.3331 0.3323 0.3640
4 Cu 0.3338 0.3319 0.1361
5 Cu 0.6662 0.6683 0.8640
6 Cu 0.6689 0.6645 0.6361
7 C 0.3331 0.3343 0.9138
8 C 0.3351 0.3314 0.5862
9 C 0.6668 0.6659 0.0862
10 C 0.6668 0.6656 0.4138
11 O 0.0727 0.6127 0.9145
12 O 0.0744 0.3134 0.5858
13 O 0.3150 0.0738 0.9143
14 O 0.3173 0.6099 0.5859
15 O 0.3342 0.3295 0.2500
16 O 0.3882 0.6837 0.0857
17 O 0.3883 0.9259 0.4145
18 O 0.6118 0.3165 0.9143
19 O 0.6135 0.0710 0.5855
20 O 0.6694 0.6687 0.7501
21 O 0.6846 0.3871 0.4143
22 O 0.6848 0.9264 0.0856
23 O 0.9272 0.3875 0.0857
24 O 0.9275 0.6836 0.4142

The 10 most intense peaks (10° ≤ 2θ ≤ 90°), sorted by position:
d (Å), 2theta, I/Imax, index
4.156, 21.4, 74, 1 1 0
4.013, 22.1, 100, 0 1 -1
3.867, 23.0, 76, 0 0 4
2.831, 31.6, 34, 1 1 4
2.481, 36.2, 53, 1 0 5
2.399, 37.5, 38, 1 -1 0
2.059, 44.0, 30, 2 2 -1
2.039, 44.4, 32, -1 1 4
1.588, 58.1, 27, 0 1 -9
1.563, 59.1, 22, 1 -2 1

(2)
The following is a computed powder diffractogram of Pu2InNi2. It was derived from a cell relaxed with PBE, using CuKα.
No peak broadening, texture or thermal motion is included.

Cell and atoms:
abc: 7.2343 7.2343 3.8303
angles: 90.00 90.00 90.00
Atoms (fractional coordinates):
1 Pu 0.1727 0.3273 0.0000
2 Pu 0.3273 0.8273 0.0000
3 Pu 0.6727 0.1727 0.0000
4 Pu 0.8273 0.6727 0.0000
5 In 0.0000 0.0000 0.5000
6 In 0.5000 0.5000 0.5000
7 Ni 0.1241 0.6241 0.5000
8 Ni 0.3759 0.1241 0.5000
9 Ni 0.6241 0.8759 0.5000
10 Ni 0.8759 0.3759 0.5000

The 10 most intense peaks (10° ≤ 2θ ≤ 90°), sorted by position:
d (Å), 2theta, I/Imax, index
3.235, 27.6, 33, 2 1 0
3.066, 29.1, 11, 1 1 1
2.630, 34.1, 46, 2 0 1
2.472, 36.3, 100, 2 1 1
2.288, 39.4, 34, 3 1 0
1.915, 47.5, 16, 0 0 2
1.755, 52.1, 15, 4 1 0
1.595, 57.8, 21, 4 1 1
1.558, 59.3, 18, 3 3 1
1.468, 63.3, 17, 3 1 2